Structure and calculated X-ray powder pattern of Cs2CuI6N (a PBE-relaxed structure; Cu Kα (λ = 1.5418 Å)).
Intensities are scaled so that the largest is 100.

Main lines, in order of falling intensity (15 to 90 degrees two-theta):
d_spacing  I (rel.)
3.196  100.0
2.768  70.8
1.957  50.4
1.670  29.2
1.598  17.3
1.239  14.6
1.667  14.6
1.270  11.8
1.131  11.2
1.236  7.3

Structure:
```
data_Cs2CuI6N
_space_group_name_H-M_alt 'I 4/m m m'
_space_group_IT_number 139
_space_group_name_Hall '-I 4 2'
_cell_length_a 7.8370
_cell_length_b 7.8370
_cell_length_c 11.0509
_cell_angle_alpha 90.00
_cell_angle_beta 90.00
_cell_angle_gamma 90.00
loop_
_atom_site_label
_atom_site_fract_x
_atom_site_fract_y
_atom_site_fract_z
_atom_site_occupancy
Cs1 0.0000 0.5000 0.2500 1
Cu1 0.0000 0.0000 0.0000 1
I1 0.0000 0.0000 0.2560 1
I2 0.2434 0.2434 0.5000 1
N1 0.0000 0.0000 0.5000 1
```